# 1
The following is a computed XRD peak list of Pm2Ho8In3. It was derived from a crystal structure in Alexandria, relaxed with PBE, using Cu Kα X-rays.

```
data_Pm2Ho8In3
_chemical_formula_sum 'Pm6 Ho24 In9'
_symmetry_space_group_name_H-M 'R -3 m'
_symmetry_Int_Tables_number 166
_symmetry_space_group_name_Hall '-R 3 2"'
_cell_length_a 6.3983
_cell_length_b 6.3983
_cell_length_c 34.9530
_cell_angle_alpha 90.00
_cell_angle_beta 90.00
_cell_angle_gamma 120.00
loop_
_atom_site_label
_atom_site_fract_x
_atom_site_fract_y
_atom_site_fract_z
Pm1 0.0000 0.0000 0.1373
Ho1 0.0000 0.0000 0.2268
Ho2 0.0009 0.5005 0.7194
In1 0.0000 0.0000 0.3119
In2 0.0000 0.0000 0.5000
```

Main lines, in order of falling intensity (10° ≤ 2θ ≤ 80°):
(hkl)	2theta	d [Å]	intensity
2 0 2	32.7	2.736	100
0 1 11	32.5	2.757	91
0 2 7	37.1	2.421	55
2 0 5	34.8	2.576	53
1 2 11	52.3	1.749	46
2 2 0	57.6	1.600	44
1 1 0	27.9	3.199	37
0 2 4	33.9	2.641	35

# 2
The following is a computed XRD peak list of Pm6HoIn2. It was derived from a crystal structure in Alexandria, relaxed with PBE, using Cu Kα X-rays.

```
data_Pm6HoIn2
_chemical_formula_sum 'Pm12 Ho2 In4'
_symmetry_space_group_name_H-M 'C 1 2/m 1'
_symmetry_Int_Tables_number 12
_symmetry_space_group_name_Hall '-C 2y'
_cell_length_a 11.208
_cell_length_b 4.847
_cell_length_c 10.627
_cell_angle_alpha 90.00
_cell_angle_beta 108.84
_cell_angle_gamma 90.00
loop_
_atom_site_label
_atom_site_fract_x
_atom_site_fract_y
_atom_site_fract_z
Pm1 0.008 0.000 0.176
Pm2 0.170 0.500 0.391
Pm3 0.172 0.500 0.054
Ho1 0.000 0.000 0.500
In1 0.160 0.500 0.715
```

Main lines, in order of falling intensity (10° ≤ 2θ ≤ 80°):
(hkl)	2theta	d [Å]	intensity
1 1 -3	31.3	2.858	100
4 0 -3	35.7	2.512	18
2 0 3	36.0	2.493	17
0 2 0	37.1	2.424	16
1 1 6	61.8	1.501	13
1 3 -3	63.3	1.470	13
4 2 -3	52.5	1.744	12
2 2 -6	65.3	1.429	12

What is the formula in the second record? Pm6HoIn2